(1)
Computed XRD peak list of Hg3GeSe4 for Cu Kα X-rays, from a structure optimized by DFT (PBE).
Peak positions follow from Bragg's law for the DFT cell and can differ from measured ones.

The 10 most intense peaks (10 to 80 degrees two-theta), by intensity:
2theta, I/Imax
24.51, 100
40.69, 47
47.74, 34
40.30, 24
73.53, 17
48.42, 17
64.77, 14
58.31, 8
74.33, 8
78.59, 8

Crystal structure
```
data_Hg3GeSe4
_chemical_formula_sum 'Hg6 Ge2 Se8'
_space_group_name_H-M_alt 'I -4 2 m'
_space_group_IT_number 121
_space_group_name_Hall 'I -4 2'
_cell_length_a 6.3299
_cell_length_b 6.3299
_cell_length_c 12.4279
_cell_angle_alpha 90.00
_cell_angle_beta 90.00
_cell_angle_gamma 90.00
loop_
_atom_site_label
_atom_site_fract_x
_atom_site_fract_y
_atom_site_fract_z
Hg1 0.0000 0.0000 0.0000
Hg2 0.0000 0.5000 0.2500
Ge1 0.0000 0.0000 0.5000
Se1 0.2489 0.2489 0.6241
```

---

(2)
Computed XRD peak list of Be2NiPd3 for Cu Kα X-rays, from a structure optimized by DFT (PBE).
Peak positions follow from Bragg's law for the DFT cell and can differ from measured ones.

The 10 most intense peaks (10 to 80 degrees two-theta), by intensity:
2theta, I/Imax
43.69, 100
33.97, 80
46.75, 50
38.05, 29
61.79, 27
68.26, 15
78.94, 15
18.76, 14
78.47, 13
78.05, 9

Crystal structure
```
data_Be2NiPd3
_chemical_formula_sum 'Be2 Ni1 Pd3'
_space_group_name_H-M_alt 'P 4 m m'
_space_group_IT_number 99
_space_group_name_Hall 'P 4 -2'
_cell_length_a 2.7482
_cell_length_b 2.7482
_cell_length_c 9.4602
_cell_angle_alpha 90.00
_cell_angle_beta 90.00
_cell_angle_gamma 90.00
loop_
_atom_site_label
_atom_site_fract_x
_atom_site_fract_y
_atom_site_fract_z
Be1 0.0000 0.0000 0.0000
Be2 0.5000 0.5000 0.4762
Ni1 0.5000 0.5000 0.1296
Pd1 0.0000 0.0000 0.3231
Pd2 0.0000 0.0000 0.6248
Pd3 0.5000 0.5000 0.8491
```

---

(3)
Computed XRD peak list of Gd2DyB2Pd2N3 for Cu Kα X-rays, from a structure optimized by DFT (PBE).
Peak positions follow from Bragg's law for the DFT cell and can differ from measured ones.

The 10 most intense peaks (10 to 80 degrees two-theta), by intensity:
2theta, I/Imax
32.94, 100
27.72, 95
35.83, 86
35.32, 65
39.08, 58
49.86, 55
62.58, 48
57.68, 36
61.06, 35
44.05, 30

Crystal structure
```
data_Gd2DyB2Pd2N3
_chemical_formula_sum 'Gd4 Dy2 B4 Pd4 N6'
_space_group_name_H-M_alt 'I 4/m m m'
_space_group_IT_number 139
_space_group_name_Hall '-I 4 2'
_cell_length_a 3.6576
_cell_length_b 3.6576
_cell_length_c 20.3276
_cell_angle_alpha 90.00
_cell_angle_beta 90.00
_cell_angle_gamma 90.00
loop_
_atom_site_label
_atom_site_fract_x
_atom_site_fract_y
_atom_site_fract_z
Gd1 0.0000 0.0000 0.1189
Dy1 0.0000 0.0000 0.5000
B1 0.0000 0.0000 0.3155
Pd1 0.0000 0.5000 0.2500
N1 0.0000 0.0000 0.0000
N2 0.0000 0.0000 0.3858
```

---

> Which formula does entry 3 have?

Gd2DyB2Pd2N3